Structure and theoretical X-ray diffraction stick pattern of HoZrTeC (DFT lattice parameters and positions (PBE); Cu Kα).
No peak broadening, texture or thermal motion is included.

Main lines, in order of falling intensity (2θ = 5–70°):
d [Å]	two_theta	Rel. int.
2.603	34.45	100
3.154	28.29	27
1.821	50.09	24
1.429	65.30	19
1.492	62.21	18
1.861	48.94	14
2.305	39.08	14
1.381	67.84	12
13.829	6.39	5
1.577	58.52	4

Crystal structure
```
HoZrTeC
1.0
3.642 0.000 0.000
-1.821 3.154 0.000
0.000 0.000 13.829
Ho Zr Te C
2 2 2 2
Cartesian
0.000 0.000 2.264
0.000 0.000 11.565
1.821 1.051 4.776
1.821 1.051 9.054
0.000 0.000 6.915
1.821 1.051 0.000
0.000 2.103 3.652
0.000 2.103 10.177
```



Structure and theoretical X-ray diffraction stick pattern of Nd2Ho2SiI5 (DFT lattice parameters and positions (PBE); Cu Kα).
No peak broadening, texture or thermal motion is included.

Main lines, in order of falling intensity (2θ = 5–70°):
d [Å]	two_theta	Rel. int.
3.108	28.72	100
3.149	28.34	56
8.915	9.92	33
2.229	40.46	33
2.196	41.11	30
2.823	31.69	21
1.760	51.94	18
2.123	42.58	18
2.281	39.51	18
5.885	15.06	12

Crystal structure
```
Nd2Ho2SiI5
1.0
9.671 -2.123 0.000
9.671 2.123 0.000
-1.956 0.000 8.915
Nd Ho Si I
2 2 1 5
Cartesian
-0.538 0.000 2.558
17.924 0.000 6.357
6.072 0.000 3.812
11.315 0.000 5.103
8.693 0.000 4.457
1.669 0.000 7.323
2.721 0.000 3.096
9.671 0.000 0.000
14.666 0.000 5.818
15.717 0.000 1.592
```